Entry 1:
This entry pairs a crystal structure of Gd3NbO7 with its simulated powder X-ray diffraction pattern. Radiation: a wavelength of 1.5418 Å. Structure: the PBE geometry in the Materials Project.

Atomic structure:
a b c (Å): 6.467 6.558 7.700
angles (deg): 73.20 89.69 82.61
Positions (direct):
Gd (0.046, 0.006, 0.249)
Gd (0.237, 0.538, 0.110)
Gd (0.239, 0.538, 0.616)
Gd (0.761, 0.462, 0.384)
Gd (0.763, 0.462, 0.890)
Gd (0.954, 0.994, 0.751)
Nb (0.500, 0.000, 0.000)
Nb (0.500, 0.000, 0.500)
O (0.045, 0.638, 0.843)
O (0.060, 0.648, 0.334)
O (0.209, 0.928, 0.550)
O (0.210, 0.933, 0.982)
O (0.410, 0.056, 0.235)
O (0.424, 0.318, 0.456)
O (0.430, 0.329, 0.889)
O (0.570, 0.671, 0.111)
O (0.576, 0.682, 0.544)
O (0.590, 0.944, 0.765)
O (0.790, 0.067, 0.018)
O (0.791, 0.072, 0.450)
O (0.940, 0.352, 0.666)
O (0.955, 0.362, 0.157)

Principal peaks in the range 2θ from 5° to 70°, in order of rising 2θ:
28.35 deg, rel. 100; 28.55 deg, rel. 99; 28.69 deg, rel. 94; 29.61 deg, rel. 88; 33.10 deg, rel. 40; 33.52 deg, rel. 85; 47.22 deg, rel. 35; 47.37 deg, rel. 28; 48.31 deg, rel. 26; 48.54 deg, rel. 26


Entry 2:
This entry pairs a crystal structure of Gd3NbO7 with its simulated powder X-ray diffraction pattern. Radiation: a wavelength of 1.5418 Å. Structure: the PBE geometry in the Materials Project.

Atomic structure:
a b c (Å): 6.552 6.552 7.605
angles (deg): 90.00 90.00 69.29
Positions (direct):
Gd (0.000, 0.000, 0.000)
Gd (0.000, 0.000, 0.500)
Gd (0.061, 0.481, 0.750)
Gd (0.481, 0.061, 0.250)
Gd (0.519, 0.939, 0.750)
Gd (0.939, 0.519, 0.250)
Nb (0.500, 0.500, 0.000)
Nb (0.500, 0.500, 0.500)
O (0.109, 0.154, 0.250)
O (0.154, 0.109, 0.750)
O (0.180, 0.563, 0.037)
O (0.180, 0.563, 0.463)
O (0.419, 0.581, 0.750)
O (0.437, 0.820, 0.037)
O (0.437, 0.820, 0.463)
O (0.563, 0.180, 0.537)
O (0.563, 0.180, 0.963)
O (0.581, 0.419, 0.250)
O (0.820, 0.437, 0.537)
O (0.820, 0.437, 0.963)
O (0.846, 0.891, 0.250)
O (0.891, 0.846, 0.750)

Principal peaks in the range 2θ from 5° to 70°, in order of rising 2θ:
28.73 deg, rel. 100; 29.14 deg, rel. 93; 33.24 deg, rel. 23; 33.68 deg, rel. 44; 45.40 deg, rel. 12; 47.84 deg, rel. 18; 48.05 deg, rel. 51; 56.66 deg, rel. 11; 57.00 deg, rel. 28; 57.71 deg, rel. 17


Entry 3:
This entry pairs a crystal structure of Gd3NbO7 with its simulated powder X-ray diffraction pattern. Radiation: a wavelength of 1.5418 Å. Structure: the PBE geometry in the Materials Project.

Atomic structure:
a b c (Å): 6.542 6.542 7.631
angles (deg): 90.00 90.00 109.66
Positions (direct):
Gd (0.000, 0.000, 0.000)
Gd (0.000, 0.000, 0.500)
Gd (0.035, 0.500, 0.750)
Gd (0.500, 0.035, 0.250)
Gd (0.500, 0.965, 0.750)
Gd (0.965, 0.500, 0.250)
Nb (0.500, 0.500, 0.000)
Nb (0.500, 0.500, 0.500)
O (0.131, 0.869, 0.250)
O (0.135, 0.865, 0.750)
O (0.180, 0.428, 0.032)
O (0.180, 0.428, 0.468)
O (0.428, 0.180, 0.532)
O (0.428, 0.180, 0.968)
O (0.435, 0.565, 0.750)
O (0.565, 0.435, 0.250)
O (0.572, 0.820, 0.032)
O (0.572, 0.820, 0.468)
O (0.820, 0.572, 0.532)
O (0.820, 0.572, 0.968)
O (0.865, 0.135, 0.250)
O (0.869, 0.131, 0.750)

Principal peaks in the range 2θ from 5° to 70°, in order of rising 2θ:
28.74 deg, rel. 99; 28.99 deg, rel. 100; 33.45 deg, rel. 67; 47.67 deg, rel. 17; 48.06 deg, rel. 58; 48.30 deg, rel. 14; 56.76 deg, rel. 30; 57.02 deg, rel. 12; 57.17 deg, rel. 37; 59.53 deg, rel. 9


Copy entry 1 word for word.
This entry pairs a crystal structure of Gd3NbO7 with its simulated powder X-ray diffraction pattern. Radiation: a wavelength of 1.5418 Å. Structure: the PBE geometry in the Materials Project.

Atomic structure:
a b c (Å): 6.467 6.558 7.700
angles (deg): 73.20 89.69 82.61
Positions (direct):
Gd (0.046, 0.006, 0.249)
Gd (0.237, 0.538, 0.110)
Gd (0.239, 0.538, 0.616)
Gd (0.761, 0.462, 0.384)
Gd (0.763, 0.462, 0.890)
Gd (0.954, 0.994, 0.751)
Nb (0.500, 0.000, 0.000)
Nb (0.500, 0.000, 0.500)
O (0.045, 0.638, 0.843)
O (0.060, 0.648, 0.334)
O (0.209, 0.928, 0.550)
O (0.210, 0.933, 0.982)
O (0.410, 0.056, 0.235)
O (0.424, 0.318, 0.456)
O (0.430, 0.329, 0.889)
O (0.570, 0.671, 0.111)
O (0.576, 0.682, 0.544)
O (0.590, 0.944, 0.765)
O (0.790, 0.067, 0.018)
O (0.791, 0.072, 0.450)
O (0.940, 0.352, 0.666)
O (0.955, 0.362, 0.157)

Principal peaks in the range 2θ from 5° to 70°, in order of rising 2θ:
28.35 deg, rel. 100; 28.55 deg, rel. 99; 28.69 deg, rel. 94; 29.61 deg, rel. 88; 33.10 deg, rel. 40; 33.52 deg, rel. 85; 47.22 deg, rel. 35; 47.37 deg, rel. 28; 48.31 deg, rel. 26; 48.54 deg, rel. 26